Entry 1:
The following is a computed powder XRD pattern of Sr2HgSbP. It was derived from DFT lattice parameters and positions (PBE), using Cu Kα, 1.54184 Å.

Peak list (12 most intense, 15° ≤ 2θ ≤ 90°, by angle)
2θ (°)	d [Å]	I/Imax
15.31	5.786	49
20.15	4.406	41
27.58	3.234	94
30.19	2.960	100
30.91	2.893	42
33.14	2.704	90
35.35	2.539	40
39.48	2.282	63
40.10	2.249	28
42.50	2.127	42
54.01	1.698	24
64.36	1.447	29

Atomic structure:
```
Sr2HgSbP
1.0
2.283 -8.387 0.000
2.283 8.387 0.000
0.000 0.000 7.993
Sr Hg Sb P
4 2 2 2
Direct
0.035 0.965 0.500
0.221 0.779 0.894
0.779 0.221 0.394
0.965 0.035 0.000
0.405 0.595 0.671
0.595 0.405 0.171
0.423 0.577 0.292
0.577 0.423 0.792
0.172 0.828 0.260
0.828 0.172 0.760
```


Entry 2:
The following is a computed powder XRD pattern of HgTePSe2. It was derived from DFT lattice parameters and positions (PBE), using Cu Kα, 1.54184 Å.

Peak list (12 most intense, 15° ≤ 2θ ≤ 90°, by angle)
2θ (°)	d [Å]	I/Imax
15.99	5.543	44
23.39	3.803	59
23.86	3.730	46
26.75	3.333	35
27.12	3.288	30
28.77	3.103	29
28.96	3.083	61
29.99	2.979	27
31.99	2.798	38
32.15	2.784	100
32.39	2.764	28
45.14	2.009	24

Atomic structure:
```
HgTePSe2
1.0
6.744 0.000 0.000
3.346 5.959 0.000
1.152 3.035 7.607
Hg Te P Se
2 2 2 4
Direct
0.118 0.124 0.148
0.882 0.876 0.852
0.250 0.947 0.686
0.750 0.053 0.314
0.468 0.469 0.149
0.532 0.531 0.851
0.118 0.512 0.194
0.476 0.272 0.788
0.524 0.728 0.212
0.882 0.488 0.806
```